[1]
Computed powder XRD pattern
Compound: KLiTm2Se4
Radiation: Cu Kα X-rays
Structure: a cell relaxed with PBE
Neutral-atom scattering factors, no anomalous dispersion.

The 6 most intense peaks (5 to 70 degrees two-theta), in order of rising 2θ:
| 2theta | I_rel |
| --- | --- |
| 12.25 | 91 |
| 22.46 | 97 |
| 28.97 | 62 |
| 29.64 | 76 |
| 31.56 | 85 |
| 43.55 | 100 |

Atomic structure:
Unit cell a=7.226 b=7.226 c=14.456 alpha=90.00 beta=90.00 gamma=146.70
Atoms (fractional coordinates):
1 K 0.110 0.890 0.750
2 K 0.890 0.110 0.250
3 Li 0.166 0.834 0.250
4 Li 0.834 0.166 0.750
5 Tm 0.366 0.634 0.563
6 Tm 0.366 0.634 0.937
7 Tm 0.634 0.366 0.063
8 Tm 0.634 0.366 0.437
9 Se 0.000 0.000 0.000
10 Se 0.000 0.000 0.500
11 Se 0.265 0.735 0.107
12 Se 0.265 0.735 0.393
13 Se 0.430 0.570 0.750
14 Se 0.570 0.430 0.250
15 Se 0.735 0.265 0.607
16 Se 0.735 0.265 0.893


[2]
Computed powder XRD pattern
Compound: Tl2TcBr5Cl
Radiation: Cu Kα X-rays
Structure: a cell relaxed with PBE
Neutral-atom scattering factors, no anomalous dispersion.

The 6 most intense peaks (5 to 70 degrees two-theta), in order of rising 2θ:
| 2theta | I_rel |
| --- | --- |
| 24.19 | 44 |
| 29.61 | 100 |
| 34.02 | 56 |
| 34.92 | 26 |
| 49.55 | 38 |
| 58.19 | 29 |

Atomic structure:
Unit cell a=7.361 b=7.361 c=7.361 alpha=119.17 beta=119.17 gamma=91.45
Atoms (fractional coordinates):
1 Tl 0.000 0.500 0.500
2 Tl 0.500 0.000 0.500
3 Tc 0.247 0.247 0.000
4 Br 0.002 0.002 0.000
5 Br 0.005 0.005 0.519
6 Br 0.005 0.486 0.000
7 Br 0.486 0.005 0.000
8 Br 0.486 0.486 0.481
9 Cl 0.477 0.477 0.000


[3]
Computed powder XRD pattern
Compound: Na13Li3
Radiation: Cu Kα X-rays
Structure: a cell relaxed with PBE
Neutral-atom scattering factors, no anomalous dispersion.

The 6 most intense peaks (5 to 70 degrees two-theta), in order of rising 2θ:
| 2theta | I_rel |
| --- | --- |
| 30.32 | 100 |
| 33.85 | 37 |
| 37.65 | 13 |
| 48.62 | 12 |
| 51.52 | 20 |
| 58.38 | 26 |

Atomic structure:
Unit cell a=9.557 b=7.490 c=7.490 alpha=90.03 beta=90.00 gamma=90.00
Atoms (fractional coordinates):
1 Na 0.000 0.000 0.000
2 Na 0.000 0.481 0.481
3 Na 0.000 0.483 0.999
4 Na 0.000 0.999 0.483
5 Na 0.259 0.235 0.749
6 Na 0.259 0.749 0.235
7 Na 0.264 0.747 0.747
8 Na 0.500 0.004 0.474
9 Na 0.500 0.474 0.004
10 Na 0.500 0.478 0.478
11 Na 0.736 0.747 0.747
12 Na 0.741 0.235 0.749
13 Na 0.741 0.749 0.235
14 Li 0.256 0.233 0.233
15 Li 0.500 0.009 0.009
16 Li 0.744 0.233 0.233


[4]
Computed powder XRD pattern
Compound: CdGa3Pd3
Radiation: Cu Kα X-rays
Structure: a cell relaxed with PBE
Neutral-atom scattering factors, no anomalous dispersion.

The 6 most intense peaks (5 to 70 degrees two-theta), in order of rising 2θ:
| 2theta | I_rel |
| --- | --- |
| 25.80 | 43 |
| 31.74 | 100 |
| 45.50 | 26 |
| 49.37 | 56 |
| 53.04 | 28 |
| 59.89 | 15 |

Atomic structure:
Unit cell a=6.906 b=6.906 c=6.906 alpha=90.00 beta=90.00 gamma=90.00
Atoms (fractional coordinates):
1 Cd 0.000 0.000 0.000
2 Cd 0.500 0.500 0.500
3 Ga 0.000 0.250 0.500
4 Ga 0.000 0.750 0.500
5 Ga 0.250 0.500 0.000
6 Ga 0.500 0.000 0.250
7 Ga 0.500 0.000 0.750
8 Ga 0.750 0.500 0.000
9 Pd 0.000 0.500 0.250
10 Pd 0.000 0.500 0.750
11 Pd 0.250 0.000 0.500
12 Pd 0.500 0.250 0.000
13 Pd 0.500 0.750 0.000
14 Pd 0.750 0.000 0.500